Ce2Si3Ni: calculated powder diffraction line list (λ = 1.5418 Å (Cu Kα)), based on the GGA-PBE geometry in the Materials Project.
No peak broadening, texture or thermal motion is included.

Top 6 peaks for 10 to 90 degrees two-theta, by angle:
d_spacing  2θ/deg  I (rel.)  index
3.529  25.2  35  1 0 0
2.649  33.8  100  1 0 2
2.037  44.5  34  1 1 0
1.615  57.0  22  2 0 2
1.429  65.3  21  1 1 4
1.266  75.1  19  2 1 2

Cell and atoms:
```
data_Ce2Si3Ni
_space_group_name_H-M_alt 'P -6 m 2'
_space_group_IT_number 187
_space_group_name_Hall 'P -6 2'
_cell_length_a 4.0749
_cell_length_b 4.0749
_cell_length_c 8.0156
_cell_angle_alpha 90.00
_cell_angle_beta 90.00
_cell_angle_gamma 120.00
loop_
_atom_site_label
_atom_site_fract_x
_atom_site_fract_y
_atom_site_fract_z
_atom_site_occupancy
Ce1 0.0000 0.0000 0.2428 1
Si1 0.3333 0.6667 0.5000 1
Si2 0.6667 0.3333 0.0000 1
Si3 0.6667 0.3333 0.5000 1
Ni1 0.3333 0.6667 0.0000 1
```

***

Be3P2: calculated powder diffraction line list (λ = 1.5418 Å (Cu Kα)), based on the GGA-PBE geometry in the Materials Project.
No peak broadening, texture or thermal motion is included.

Top 6 peaks for 10 to 90 degrees two-theta, by angle:
d_spacing  2θ/deg  I (rel.)  index
2.942  30.4  100  2 2 2
2.548  35.2  24  4 0 0
1.802  50.7  52  4 4 0
1.537  60.2  36  6 2 2
1.274  74.5  8  8 0 0
1.169  82.5  15  6 6 2

Cell and atoms:
```
data_Be3P2
_space_group_name_H-M_alt 'I a -3'
_space_group_IT_number 206
_space_group_name_Hall '-I 2b 2c 3'
_cell_length_a 10.193
_cell_length_b 10.193
_cell_length_c 10.193
_cell_angle_alpha 90.00
_cell_angle_beta 90.00
_cell_angle_gamma 90.00
loop_
_atom_site_label
_atom_site_fract_x
_atom_site_fract_y
_atom_site_fract_z
_atom_site_occupancy
Be1 0.121 0.130 0.626 1
P1 0.000 0.250 0.494 1
P2 0.250 0.250 0.250 1
```

***

CuAgS: calculated powder diffraction line list (λ = 1.5418 Å (Cu Kα)), based on the GGA-PBE geometry in the Materials Project.
No peak broadening, texture or thermal motion is included.

Top 6 peaks for 10 to 90 degrees two-theta, by angle:
d_spacing  2θ/deg  I (rel.)  index
3.402  26.2  42  0 2 0
2.662  33.7  100  1 1 2
2.114  42.8  20  0 0 4
1.983  45.7  17  2 0 0
1.785  51.2  43  1 3 2
1.102  88.7  14  3 3 2

Cell and atoms:
```
data_CuAgS
_space_group_name_H-M_alt 'C m c m'
_space_group_IT_number 63
_space_group_name_Hall '-C 2c 2'
_cell_length_a 3.967
_cell_length_b 6.805
_cell_length_c 8.455
_cell_angle_alpha 90.00
_cell_angle_beta 90.00
_cell_angle_gamma 90.00
loop_
_atom_site_label
_atom_site_fract_x
_atom_site_fract_y
_atom_site_fract_z
_atom_site_occupancy
Cu1 0.000 0.022 0.250 1
Ag1 0.000 0.500 0.000 1
S1 0.000 0.316 0.750 1
```

***

GdScO3: calculated powder diffraction line list (λ = 1.5418 Å (Cu Kα)), based on the GGA-PBE geometry in the Materials Project.
No peak broadening, texture or thermal motion is included.

Top 6 peaks for 10 to 90 degrees two-theta, by angle:
d_spacing  2θ/deg  I (rel.)  index
4.013  22.2  21  0 2 0
3.993  22.3  31  1 0 1
3.575  24.9  19  1 1 1
2.831  31.6  100  1 2 1
2.759  32.4  22  0 0 2
1.607  57.4  22  1 2 3

Cell and atoms:
```
data_GdScO3
_space_group_name_H-M_alt 'P n m a'
_space_group_IT_number 62
_space_group_name_Hall '-P 2ac 2n'
_cell_length_a 5.786
_cell_length_b 8.026
_cell_length_c 5.519
_cell_angle_alpha 90.00
_cell_angle_beta 90.00
_cell_angle_gamma 90.00
loop_
_atom_site_label
_atom_site_fract_x
_atom_site_fract_y
_atom_site_fract_z
_atom_site_occupancy
Gd1 0.060 0.250 0.019 1
Sc1 0.000 0.000 0.500 1
O1 0.052 0.750 0.376 1
O2 0.196 0.565 0.806 1
```

***

CdGeN2: calculated powder diffraction line list (λ = 1.5418 Å (Cu Kα)), based on the GGA-PBE geometry in the Materials Project.
No peak broadening, texture or thermal motion is included.

Top 6 peaks for 10 to 90 degrees two-theta, by angle:
d_spacing  2θ/deg  I (rel.)  index
2.741  32.7  100  1 1 2
2.481  36.2  29  2 0 0
1.754  52.1  15  2 2 0
1.644  55.9  24  2 0 4
1.478  62.9  28  3 1 2
1.351  69.6  10  1 1 6

Cell and atoms:
```
data_CdGeN2
_space_group_name_H-M_alt 'I -4 2 d'
_space_group_IT_number 122
_space_group_name_Hall 'I -4 2bw'
_cell_length_a 4.962
_cell_length_b 4.962
_cell_length_c 8.780
_cell_angle_alpha 90.00
_cell_angle_beta 90.00
_cell_angle_gamma 90.00
loop_
_atom_site_label
_atom_site_fract_x
_atom_site_fract_y
_atom_site_fract_z
_atom_site_occupancy
Cd1 0.000 0.000 0.000 1
Ge1 0.000 0.000 0.500 1
N1 0.181 0.750 0.625 1
```